Record 1
# RbEr2Zr2O7
Theoretical X-ray diffraction stick pattern, λ = 1.5418 Å (Cu Kα). Input: a PBE-relaxed structure.
Lines closer than 0.1° are merged.

Main lines, sorted by position (2θ from 15° to 90°):
| Position (°2θ) | Rel. int. |
| --- | --- |
| 19.25 | 18 |
| 25.10 | 20 |
| 29.05 | 17 |
| 30.22 | 100 |
| 31.38 | 23 |
| 34.69 | 32 |
| 39.07 | 26 |
| 40.15 | 31 |
| 41.21 | 19 |
| 41.57 | 28 |
| 58.08 | 23 |
| 59.17 | 19 |

Structural model:
Cell: 4.344 4.492 18.443 Å, 90.00 90.00 90.00°
Space group Immm (No. 71)
Asymmetric unit:
Rb 0.000 0.000 0.000 [2 per cell]
Er 0.000 0.500 0.258 [4 per cell]
Zr 0.000 0.000 0.390 [4 per cell]
O 0.000 0.000 0.267 [4 per cell]
O 0.000 0.000 0.500 [2 per cell]
O 0.000 0.500 0.130 [4 per cell]
O 0.000 0.500 0.379 [4 per cell]

=====

Record 2
# ErRe2O8
Theoretical X-ray diffraction stick pattern, λ = 1.5418 Å (Cu Kα). Input: a PBE-relaxed structure.
Lines closer than 0.1° are merged.

Main lines, sorted by position (2θ from 15° to 90°):
| Position (°2θ) | Rel. int. |
| --- | --- |
| 16.15 | 30 |
| 18.67 | 22 |
| 26.52 | 100 |
| 31.20 | 6 |
| 37.85 | 12 |
| 41.40 | 11 |
| 42.52 | 6 |
| 46.81 | 42 |
| 54.60 | 18 |
| 61.70 | 18 |
| 74.71 | 22 |
| 86.95 | 12 |

Structural model:
Cell: 9.508 9.508 9.508 Å, 90.00 90.00 90.00°
Space group Fm-3m (No. 225)
Asymmetric unit:
Er 0.000 0.000 0.000 [4 per cell]
Re 0.250 0.250 0.250 [8 per cell]
O 0.143 0.143 0.143 [32 per cell]

=====

Record 3
# ErRe2O8
Theoretical X-ray diffraction stick pattern, λ = 1.5418 Å (Cu Kα). Input: a PBE-relaxed structure.
Lines closer than 0.1° are merged.

Main lines, sorted by position (2θ from 15° to 90°):
| Position (°2θ) | Rel. int. |
| --- | --- |
| 21.48 | 100 |
| 29.25 | 41 |
| 31.83 | 24 |
| 36.58 | 14 |
| 43.77 | 15 |
| 44.38 | 9 |
| 47.50 | 24 |
| 50.97 | 8 |
| 51.86 | 8 |
| 53.51 | 11 |
| 60.65 | 7 |
| 65.13 | 9 |

Structural model:
Cell: 6.1070 6.1070 6.6383 Å, 90.00 90.00 120.00°
Space group P-3m1 (No. 164)
Asymmetric unit:
Er 0.0000 0.0000 0.0000 [1 per cell]
Re 0.3333 0.6667 0.2794 [2 per cell]
O 0.1754 0.3508 0.1854 [6 per cell]
O 0.3333 0.6667 0.5412 [2 per cell]